No. 1
For ErTe2H, a DFT-relaxed cell (GGA-PBE, Alexandria) gives the computed powder X-ray diffraction pattern in this record (Cu Kα X-rays).
Intensities are scaled so that the largest is 100.

Structure:
```
data_ErTe2H
_chemical_formula_sum 'Er2 Te4 H2'
_symmetry_space_group_name_H-M 'P -1'
_symmetry_Int_Tables_number 2
_cell_length_a 4.457
_cell_length_b 7.866
_cell_length_c 7.868
_cell_angle_alpha 71.84
_cell_angle_beta 88.82
_cell_angle_gamma 89.68
loop_
_symmetry_equiv_pos_as_xyz
'x,y,z'
'-x,-y,-z'
loop_
_atom_site_label
_atom_site_type_symbol
_atom_site_fract_x
_atom_site_fract_y
_atom_site_fract_z
_atom_site_occupancy
Er1 Er 0.248 0.221 0.487 1
Te1 Te 0.242 0.847 0.741 1
Te2 Te 0.261 0.640 0.306 1
H1 H 0.260 0.727 0.077 1
```

The 6 most intense peaks (10 to 80 degrees two-theta), in order of rising 2θ:
11.84 deg, d = 7.474 Å, rel. 100
24.19 deg, d = 3.679 Å, rel. 28
24.56 deg, d = 3.624 Å, rel. 33
29.88 deg, d = 2.991 Å, rel. 40
30.34 deg, d = 2.946 Å, rel. 37
30.96 deg, d = 2.888 Å, rel. 36

No. 2
For Pm3DyEr7, a DFT-relaxed cell (GGA-PBE, Alexandria) gives the computed powder X-ray diffraction pattern in this record (Cu Kα X-rays).
Intensities are scaled so that the largest is 100.

Structure:
```
data_Pm3DyEr7
_chemical_formula_sum 'Pm6 Dy2 Er14'
_symmetry_space_group_name_H-M 'I m m m'
_symmetry_Int_Tables_number 71
_symmetry_space_group_name_Hall '-I 2 2'
_cell_length_a 5.802
_cell_length_b 11.110
_cell_length_c 11.157
_cell_angle_alpha 90.00
_cell_angle_beta 90.00
_cell_angle_gamma 90.00
loop_
_atom_site_label
_atom_site_type_symbol
_atom_site_fract_x
_atom_site_fract_y
_atom_site_fract_z
_atom_site_occupancy
Pm1 Pm 0.000 0.000 0.000 1
Pm2 Pm 0.000 0.500 0.288 1
Dy1 Dy 0.000 0.000 0.500 1
Er1 Er 0.000 0.207 0.196 1
Er2 Er 0.000 0.294 0.500 1
Er3 Er 0.000 0.500 0.000 1
```

The 6 most intense peaks (10 to 80 degrees two-theta), in order of rising 2θ:
25.30 deg, d = 3.520 Å, rel. 19
30.82 deg, d = 2.901 Å, rel. 40
32.09 deg, d = 2.789 Å, rel. 15
32.23 deg, d = 2.778 Å, rel. 17
32.85 deg, d = 2.726 Å, rel. 100
56.11 deg, d = 1.639 Å, rel. 22

No. 3
For Re4Cl8O9, a DFT-relaxed cell (GGA-PBE, Alexandria) gives the computed powder X-ray diffraction pattern in this record (Cu Kα X-rays).
Intensities are scaled so that the largest is 100.

Structure:
```
data_Re4Cl8O9
_chemical_formula_sum 'Re4 Cl8 O9'
_symmetry_space_group_name_H-M 'P -1'
_symmetry_Int_Tables_number 2
_cell_length_a 6.517
_cell_length_b 6.684
_cell_length_c 13.119
_cell_angle_alpha 76.22
_cell_angle_beta 85.85
_cell_angle_gamma 83.87
loop_
_symmetry_equiv_pos_as_xyz
'x,y,z'
'-x,-y,-z'
loop_
_atom_site_label
_atom_site_type_symbol
_atom_site_fract_x
_atom_site_fract_y
_atom_site_fract_z
_atom_site_occupancy
Re1 Re 0.133 0.182 0.341 1
Re2 Re 0.152 0.395 0.895 1
Cl1 Cl 0.128 0.775 0.124 1
Cl2 Cl 0.255 0.357 0.727 1
Cl3 Cl 0.270 0.378 0.429 1
Cl4 Cl 0.338 0.682 0.855 1
O1 O 0.000 0.500 0.000 1
O2 O 0.104 0.315 0.211 1
O3 O 0.104 0.884 0.602 1
O4 O 0.292 0.959 0.344 1
O5 O 0.313 0.209 0.967 1
```

The 6 most intense peaks (10 to 80 degrees two-theta), in order of rising 2θ:
13.68 deg, d = 6.471 Å, rel. 100
13.85 deg, d = 6.393 Å, rel. 68
18.34 deg, d = 4.838 Å, rel. 46
19.08 deg, d = 4.652 Å, rel. 46
20.04 deg, d = 4.431 Å, rel. 57
21.76 deg, d = 4.085 Å, rel. 52

No. 4
For Hf2Co15Ni2, a DFT-relaxed cell (GGA-PBE, Alexandria) gives the computed powder X-ray diffraction pattern in this record (Cu Kα X-rays).
Intensities are scaled so that the largest is 100.

Structure:
```
data_Hf2Co15Ni2
_chemical_formula_sum 'Hf6 Co45 Ni6'
_symmetry_space_group_name_H-M 'R -3 m'
_symmetry_Int_Tables_number 166
_symmetry_space_group_name_Hall '-R 3 2"'
_cell_length_a 8.1764
_cell_length_b 8.1764
_cell_length_c 11.8759
_cell_angle_alpha 90.00
_cell_angle_beta 90.00
_cell_angle_gamma 120.00
loop_
_atom_site_label
_atom_site_type_symbol
_atom_site_fract_x
_atom_site_fract_y
_atom_site_fract_z
_atom_site_occupancy
Hf1 Hf 0.0000 0.0000 0.1593 1
Co1 Co 0.0000 0.2918 0.5000 1
Co2 Co 0.0000 0.5000 0.0000 1
Co3 Co 0.0056 0.5028 0.6490 1
Ni1 Ni 0.0000 0.0000 0.3949 1
```

The 6 most intense peaks (10 to 80 degrees two-theta), in order of rising 2θ:
31.46 deg, d = 2.844 Å, rel. 40
38.13 deg, d = 2.360 Å, rel. 47
39.62 deg, d = 2.275 Å, rel. 36
44.31 deg, d = 2.044 Å, rel. 67
44.70 deg, d = 2.027 Å, rel. 100
45.85 deg, d = 1.979 Å, rel. 31